Starting from the GGA-PBE geometry in Alexandria, the PXRD pattern of SiNiAsP was calculated for a wavelength of 1.5418 Å.
No peak broadening, texture or thermal motion is included.

Cell and atoms:
Cell: 4.320 2.707 5.791 Å, 90.00 109.67 90.00°
Element x y z (fractional)
Si: 0.000 0.000 0.000
Ni: 0.929 0.500 0.327
As: 0.342 0.000 0.673
P: 0.515 0.000 0.308

Peak list (10 most intense, 2θ = 10–90°, by angle)
5.453 Å, intensity 61
3.962 Å, intensity 88
2.835 Å, intensity 69
2.729 Å, intensity 88
2.424 Å, intensity 55
2.253 Å, intensity 85
1.958 Å, intensity 64
1.922 Å, intensity 100
1.818 Å, intensity 45
1.687 Å, intensity 49

***

Starting from the GGA-PBE geometry in Alexandria, the PXRD pattern of Pa3Ni2As3 was calculated for a wavelength of 1.5418 Å.
No peak broadening, texture or thermal motion is included.

Cell and atoms:
Cell: 5.671 5.671 14.202 Å, 90.00 90.00 138.13°
Element x y z (fractional)
Pa: 0.071 0.929 0.607
Pa: 0.071 0.929 0.893
Pa: 0.351 0.649 0.750
Pa: 0.649 0.351 0.250
Pa: 0.929 0.071 0.107
Pa: 0.929 0.071 0.393
Ni: 0.226 0.774 0.107
Ni: 0.226 0.774 0.393
Ni: 0.774 0.226 0.607
Ni: 0.774 0.226 0.893
As: 0.366 0.634 0.544
As: 0.366 0.634 0.956
As: 0.368 0.632 0.250
As: 0.632 0.368 0.750
As: 0.634 0.366 0.044
As: 0.634 0.366 0.456

Peak list (10 most intense, 2θ = 10–90°, by angle)
3.657 Å, intensity 24
3.530 Å, intensity 26
2.662 Å, intensity 28
2.617 Å, intensity 43
2.603 Å, intensity 26
2.589 Å, intensity 100
2.367 Å, intensity 24
2.320 Å, intensity 56
2.026 Å, intensity 35
1.418 Å, intensity 20

***

Starting from the GGA-PBE geometry in Alexandria, the PXRD pattern of Pa3Ni3As4 was calculated for a wavelength of 1.5418 Å.
No peak broadening, texture or thermal motion is included.

Cell and atoms:
Cell: 7.787 7.787 7.787 Å, 109.47 109.47 109.47°
Element x y z (fractional)
Pa: 0.125 0.750 0.875
Pa: 0.250 0.625 0.375
Pa: 0.375 0.250 0.625
Pa: 0.625 0.375 0.250
Pa: 0.750 0.875 0.125
Pa: 0.875 0.125 0.750
Ni: 0.125 0.875 0.250
Ni: 0.250 0.125 0.875
Ni: 0.375 0.625 0.750
Ni: 0.625 0.750 0.375
Ni: 0.750 0.375 0.625
Ni: 0.875 0.250 0.125
As: 0.000 0.334 0.500
As: 0.000 0.834 0.500
As: 0.166 0.166 0.166
As: 0.334 0.500 0.000
As: 0.500 0.000 0.334
As: 0.500 0.000 0.834
As: 0.666 0.666 0.666
As: 0.834 0.500 0.000

Peak list (10 most intense, 2θ = 10–90°, by angle)
3.671 Å, intensity 49
3.179 Å, intensity 14
2.843 Å, intensity 61
2.403 Å, intensity 100
2.010 Å, intensity 59
1.917 Å, intensity 21
1.835 Å, intensity 14
1.642 Å, intensity 15
1.459 Å, intensity 29
1.224 Å, intensity 22

***

Starting from the GGA-PBE geometry in Alexandria, the PXRD pattern of Pa2NiAs2 was calculated for a wavelength of 1.5418 Å.
No peak broadening, texture or thermal motion is included.

Cell and atoms:
Cell: 5.798 3.983 9.871 Å, 90.00 105.96 90.00°
Element x y z (fractional)
Pa: 0.065 0.250 0.169
Pa: 0.297 0.250 0.613
Pa: 0.703 0.750 0.387
Pa: 0.935 0.750 0.831
Ni: 0.262 0.250 0.930
Ni: 0.738 0.750 0.070
As: 0.208 0.750 0.392
As: 0.441 0.750 0.835
As: 0.559 0.250 0.165
As: 0.792 0.250 0.608

Peak list (10 most intense, 2θ = 10–90°, by angle)
3.240 Å, intensity 32
3.148 Å, intensity 25
3.051 Å, intensity 100
2.898 Å, intensity 50
2.477 Å, intensity 24
2.373 Å, intensity 19
2.114 Å, intensity 51
2.088 Å, intensity 46
1.991 Å, intensity 27
1.641 Å, intensity 19

***

Starting from the GGA-PBE geometry in Alexandria, the PXRD pattern of Pa2Ni5As3 was calculated for a wavelength of 1.5418 Å.
No peak broadening, texture or thermal motion is included.

Cell and atoms:
Cell: 11.386 11.386 6.901 Å, 90.00 90.00 159.55°
Element x y z (fractional)
Pa: 0.004 0.996 0.500
Pa: 0.336 0.664 0.988
Pa: 0.664 0.336 0.488
Pa: 0.996 0.004 0.000
Ni: 0.115 0.885 0.760
Ni: 0.207 0.793 0.108
Ni: 0.225 0.775 0.721
Ni: 0.370 0.630 0.513
Ni: 0.452 0.548 0.775
Ni: 0.548 0.452 0.275
Ni: 0.630 0.370 0.013
Ni: 0.775 0.225 0.221
Ni: 0.793 0.207 0.608
Ni: 0.885 0.115 0.260
As: 0.108 0.892 0.224
As: 0.268 0.732 0.411
As: 0.440 0.560 0.252
As: 0.560 0.440 0.752
As: 0.732 0.268 0.911
As: 0.892 0.108 0.724

Peak list (10 most intense, 2θ = 10–90°, by angle)
3.555 Å, intensity 26
2.753 Å, intensity 15
2.596 Å, intensity 15
2.535 Å, intensity 42
2.476 Å, intensity 100
2.120 Å, intensity 37
2.021 Å, intensity 31
1.580 Å, intensity 20
1.338 Å, intensity 16
1.238 Å, intensity 15

***

Starting from the GGA-PBE geometry in Alexandria, the PXRD pattern of Pa3Ni4As4 was calculated for a wavelength of 1.5418 Å.
No peak broadening, texture or thermal motion is included.

Cell and atoms:
Cell: 3.897 3.976 12.698 Å, 81.00 82.83 89.98°
Element x y z (fractional)
Pa: 0.000 0.000 0.000
Pa: 0.163 0.651 0.699
Pa: 0.837 0.349 0.301
Ni: 0.232 0.251 0.496
Ni: 0.300 0.896 0.207
Ni: 0.700 0.104 0.793
Ni: 0.768 0.749 0.504
As: 0.313 0.803 0.393
As: 0.434 0.443 0.113
As: 0.566 0.557 0.887
As: 0.687 0.197 0.607

Peak list (10 most intense, 2θ = 10–90°, by angle)
3.585 Å, intensity 58
2.728 Å, intensity 52
2.665 Å, intensity 55
2.588 Å, intensity 80
2.560 Å, intensity 100
2.521 Å, intensity 88
2.270 Å, intensity 64
1.988 Å, intensity 56
1.966 Å, intensity 42
1.948 Å, intensity 45